# 1
Structure and simulated PXRD pattern of HfZrAlRe (a DFT-relaxed cell (PBE, Alexandria); Cu Kα X-rays).
Lines closer than 0.1° are merged.

Top 10 peaks for 2θ = 10–80°, low angle first:
13.60 deg, d = 6.511 Å, rel. 51.1; 29.87 deg, d = 2.991 Å, rel. 20.8; 37.78 deg, d = 2.381 Å, rel. 53.3; 38.46 deg, d = 2.341 Å, rel. 100.0; 40.33 deg, d = 2.237 Å, rel. 15.2; 49.99 deg, d = 1.824 Å, rel. 11.8; 54.49 deg, d = 1.684 Å, rel. 18.5; 56.50 deg, d = 1.629 Å, rel. 13.7; 68.66 deg, d = 1.367 Å, rel. 36.5; 70.01 deg, d = 1.344 Å, rel. 16.5

Structure:
```
data_HfZrAlRe
_space_group_name_H-M_alt 'P 4 m m'
_space_group_IT_number 99
_cell_length_a 3.368
_cell_length_b 3.368
_cell_length_c 6.511
_cell_angle_alpha 90.00
_cell_angle_beta 90.00
_cell_angle_gamma 90.00
loop_
_space_group_symop_operation_xyz
'x,y,z'
'-y,x,z'
'-x,-y,z'
'y,-x,z'
'-x,y,z'
'y,x,z'
'x,-y,z'
'-y,-x,z'
loop_
_atom_site_label
_atom_site_type_symbol
_atom_site_fract_x
_atom_site_fract_y
_atom_site_fract_z
Hf1 Hf 0.000 0.000 0.000
Zr1 Zr 0.000 0.000 0.479
Al1 Al 0.500 0.500 0.742
Re1 Re 0.500 0.500 0.231
```


# 2
Structure and simulated PXRD pattern of Pu2BeB10 (a DFT-relaxed cell (PBE, Alexandria); Cu Kα X-rays).
Lines closer than 0.1° are merged.

Top 10 peaks for 2θ = 10–80°, low angle first:
21.58 deg, d = 4.117 Å, rel. 56.5; 22.90 deg, d = 3.883 Å, rel. 82.1; 31.68 deg, d = 2.825 Å, rel. 100.0; 32.80 deg, d = 2.730 Å, rel. 25.5; 39.29 deg, d = 2.293 Å, rel. 19.7; 39.61 deg, d = 2.275 Å, rel. 32.8; 40.18 deg, d = 2.244 Å, rel. 17.6; 46.80 deg, d = 1.941 Å, rel. 17.6; 50.15 deg, d = 1.819 Å, rel. 30.7; 55.96 deg, d = 1.643 Å, rel. 15.8

Structure:
```
data_Pu2BeB10
_space_group_name_H-M_alt 'P b a m'
_space_group_IT_number 55
_cell_length_a 5.522
_cell_length_b 10.921
_cell_length_c 4.117
_cell_angle_alpha 90.00
_cell_angle_beta 90.00
_cell_angle_gamma 90.00
loop_
_space_group_symop_operation_xyz
'x,y,z'
'-x,-y,-z'
'-x,-y,z'
'x,y,-z'
'x+1/2,-y+1/2,-z'
'-x+1/2,y+1/2,z'
'-x+1/2,y+1/2,-z'
'x+1/2,-y+1/2,z'
loop_
_atom_site_label
_atom_site_type_symbol
_atom_site_fract_x
_atom_site_fract_y
_atom_site_fract_z
Pu1 Pu 0.191 0.136 0.000
Be1 Be 0.000 0.500 0.500
B1 B 0.022 0.315 0.500
B2 B 0.129 0.961 0.500
B3 B 0.164 0.802 0.500
B4 B 0.195 0.389 0.200
```


# 3
Structure and simulated PXRD pattern of Ac7SnPt5 (a DFT-relaxed cell (PBE, Alexandria); Cu Kα X-rays).
Lines closer than 0.1° are merged.

Top 10 peaks for 2θ = 10–80°, low angle first:
26.80 deg, d = 3.326 Å, rel. 72.0; 27.93 deg, d = 3.194 Å, rel. 97.7; 28.97 deg, d = 3.082 Å, rel. 100.0; 29.94 deg, d = 2.984 Å, rel. 38.1; 30.38 deg, d = 2.942 Å, rel. 22.8; 40.27 deg, d = 2.239 Å, rel. 48.0; 40.40 deg, d = 2.233 Å, rel. 39.9; 40.74 deg, d = 2.215 Å, rel. 49.7; 40.93 deg, d = 2.205 Å, rel. 29.4; 49.04 deg, d = 1.858 Å, rel. 28.8

Structure:
```
data_Ac7SnPt5
_space_group_name_H-M_alt 'C m c m'
_space_group_IT_number 63
_space_group_name_Hall '-C 2c 2'
_cell_length_a 4.479
_cell_length_b 14.585
_cell_length_c 26.164
_cell_angle_alpha 90.00
_cell_angle_beta 90.00
_cell_angle_gamma 90.00
loop_
_atom_site_label
_atom_site_type_symbol
_atom_site_fract_x
_atom_site_fract_y
_atom_site_fract_z
Ac1 Ac 0.000 0.038 0.250
Ac2 Ac 0.000 0.135 0.536
Ac3 Ac 0.000 0.323 0.171
Ac4 Ac 0.000 0.407 0.606
Sn1 Sn 0.000 0.292 0.750
Pt1 Pt 0.000 0.040 0.643
Pt2 Pt 0.000 0.228 0.071
Pt3 Pt 0.000 0.500 0.000
```


# 4
Structure and simulated PXRD pattern of Tb3DyHg5 (a DFT-relaxed cell (PBE, Alexandria); Cu Kα X-rays).
Lines closer than 0.1° are merged.

Top 10 peaks for 2θ = 10–80°, low angle first:
32.99 deg, d = 2.715 Å, rel. 22.5; 33.82 deg, d = 2.651 Å, rel. 100.0; 34.04 deg, d = 2.634 Å, rel. 93.3; 43.57 deg, d = 2.077 Å, rel. 8.7; 48.74 deg, d = 1.868 Å, rel. 31.4; 56.51 deg, d = 1.628 Å, rel. 9.1; 60.78 deg, d = 1.524 Å, rel. 27.7; 60.92 deg, d = 1.521 Å, rel. 11.5; 63.96 deg, d = 1.456 Å, rel. 8.9; 67.62 deg, d = 1.385 Å, rel. 33.9

Structure:
```
data_Tb3DyHg5
_space_group_name_H-M_alt 'P 63/m c m'
_space_group_IT_number 193
_space_group_name_Hall '-P 6c 2'
_cell_length_a 9.1240
_cell_length_b 9.1240
_cell_length_c 6.5136
_cell_angle_alpha 90.00
_cell_angle_beta 90.00
_cell_angle_gamma 120.00
loop_
_atom_site_label
_atom_site_type_symbol
_atom_site_fract_x
_atom_site_fract_y
_atom_site_fract_z
Tb1 Tb 0.0000 0.3700 0.2500
Dy1 Dy 0.0000 0.0000 0.0000
Hg1 Hg 0.0000 0.2974 0.7500
Hg2 Hg 0.3333 0.6667 0.0000
```


# 5
Structure and simulated PXRD pattern of ZnGaCo (a DFT-relaxed cell (PBE, Alexandria); Cu Kα X-rays).
Lines closer than 0.1° are merged.

Top 10 peaks for 2θ = 10–80°, low angle first:
21.08 deg, d = 4.215 Å, rel. 20.2; 21.95 deg, d = 4.049 Å, rel. 16.3; 30.62 deg, d = 2.920 Å, rel. 25.6; 33.85 deg, d = 2.648 Å, rel. 9.8; 40.71 deg, d = 2.216 Å, rel. 7.0; 42.92 deg, d = 2.107 Å, rel. 31.4; 44.77 deg, d = 2.024 Å, rel. 27.7; 46.29 deg, d = 1.961 Å, rel. 100.0; 63.75 deg, d = 1.460 Å, rel. 18.1; 71.22 deg, d = 1.324 Å, rel. 6.4

Structure:
```
data_ZnGaCo
_space_group_name_H-M_alt 'P m m m'
_space_group_IT_number 47
_cell_length_a 2.648
_cell_length_b 4.049
_cell_length_c 4.215
_cell_angle_alpha 90.00
_cell_angle_beta 90.00
_cell_angle_gamma 90.00
loop_
_space_group_symop_operation_xyz
'x,y,z'
'-x,-y,-z'
'-x,-y,z'
'x,y,-z'
'x,-y,-z'
'-x,y,z'
'-x,y,-z'
'x,-y,z'
loop_
_atom_site_label
_atom_site_type_symbol
_atom_site_fract_x
_atom_site_fract_y
_atom_site_fract_z
Zn1 Zn 0.000 0.000 0.000
Ga1 Ga 0.000 0.500 0.500
Co1 Co 0.500 0.000 0.500
```


# 6
Structure and simulated PXRD pattern of CsTiMn2Cl8 (a DFT-relaxed cell (PBE, Alexandria); Cu Kα X-rays).
Lines closer than 0.1° are merged.

Top 10 peaks for 2θ = 10–80°, low angle first:
19.59 deg, d = 4.532 Å, rel. 100.0; 24.66 deg, d = 3.611 Å, rel. 30.1; 27.36 deg, d = 3.259 Å, rel. 16.0; 28.30 deg, d = 3.153 Å, rel. 45.5; 29.50 deg, d = 3.027 Å, rel. 36.4; 32.88 deg, d = 2.724 Å, rel. 17.5; 34.66 deg, d = 2.588 Å, rel. 23.3; 44.08 deg, d = 2.054 Å, rel. 28.3; 45.33 deg, d = 2.001 Å, rel. 19.2; 50.11 deg, d = 1.820 Å, rel. 24.8

Structure:
```
data_CsTiMn2Cl8
_space_group_name_H-M_alt 'R 3 2'
_space_group_IT_number 155
_space_group_name_Hall 'R 3 2"'
_cell_length_a 6.3062
_cell_length_b 6.3062
_cell_length_c 32.4978
_cell_angle_alpha 90.00
_cell_angle_beta 90.00
_cell_angle_gamma 120.00
loop_
_atom_site_label
_atom_site_type_symbol
_atom_site_fract_x
_atom_site_fract_y
_atom_site_fract_z
Cs1 Cs 0.0000 0.0000 0.0000
Ti1 Ti 0.0000 0.0000 0.5000
Mn1 Mn 0.0000 0.0000 0.2371
Cl1 Cl 0.0000 0.0000 0.3073
Cl2 Cl 0.0128 0.3077 0.5491
```